For RbZn2Ag2Br7, the PBE geometry in Alexandria gives the computed X-ray diffraction stick pattern in this record (λ = 1.5418 Å (Cu Kα)).
Lines closer than 0.1° are merged.

Principal peaks in the range 2θ = 5–70°, by angle:
2θ (°), Rel. int.
15.5, 100
17.4, 56
24.2, 66
28.9, 49
30.0, 30
42.7, 54
45.7, 33
53.8, 36

Cell and atoms:
Lattice parameters (Å, degrees): 12.1966 12.1966 12.1966 35.03 35.03 35.03
Element x y z (fractional)
Rb1 0.0000 0.0000 0.0000
Zn1 0.4283 0.4283 0.4283
Zn2 0.5717 0.5717 0.5717
Ag1 0.2543 0.2543 0.2543
Ag2 0.7457 0.7457 0.7457
Br1 0.1016 0.3864 0.7319
Br2 0.2681 0.6136 0.8984
Br3 0.3864 0.7319 0.1016
Br4 0.5000 0.5000 0.5000
Br5 0.6136 0.8984 0.2681
Br6 0.7319 0.1016 0.3864
Br7 0.8984 0.2681 0.6136